[1]
Simulated powder diffraction line list of H for a wavelength of 1.5418 Å, from a crystal structure in the Materials Project, relaxed with PBE.

Crystal structure
```
H
1.0
4.8416 0.0000 0.0000
0.0000 4.7987 0.0000
0.0000 0.0000 3.7574
H
8
Cartesian
0.0000 0.2520 0.2778 H
0.0000 2.1474 2.1565 H
0.0000 2.6513 1.6009 H
0.0000 4.5467 3.4796 H
2.4208 0.2520 1.6009 H
2.4208 2.1474 3.4796 H
2.4208 2.6513 0.2778 H
2.4208 4.5467 2.1565 H
```

Top 10 peaks for 2θ from 5° to 70°, in order of rising 2θ:
- 2.524 Å, 35.6 deg, intensity 100
- 2.421 Å, 37.1 deg, intensity 29
- 2.399 Å, 37.5 deg, intensity 17
- 2.022 Å, 44.8 deg, intensity 2
- 1.879 Å, 48.5 deg, intensity 3
- 1.704 Å, 53.8 deg, intensity 5
- 1.645 Å, 55.9 deg, intensity 1
- 1.484 Å, 62.6 deg, intensity 1
- 1.417 Å, 65.9 deg, intensity 3
- 1.408 Å, 66.4 deg, intensity 1

[2]
Simulated powder diffraction line list of Tl2FeCu3Te4 for a wavelength of 1.5418 Å, from a crystal structure in the Materials Project, relaxed with PBE.

Crystal structure
```
Tl2FeCu3Te4
1.0
3.9842 0.0000 0.0000
0.0000 3.9842 0.0000
0.0000 0.0000 15.8665
Tl Fe Cu Te
2 1 3 4
Cartesian
0.0000 1.9921 3.9228 Tl
1.9921 0.0000 11.9437 Tl
0.0000 0.0000 7.9332 Fe
0.0000 0.0000 0.0000 Cu
1.9921 1.9921 0.0000 Cu
1.9921 1.9921 7.9332 Cu
0.0000 1.9921 9.6286 Te
0.0000 1.9921 14.1532 Te
1.9921 0.0000 1.7132 Te
1.9921 0.0000 6.2378 Te
```

Top 10 peaks for 2θ from 5° to 70°, in order of rising 2θ:
- 3.182 Å, 28.0 deg, intensity 100
- 2.817 Å, 31.8 deg, intensity 20
- 2.655 Å, 33.8 deg, intensity 27
- 2.482 Å, 36.2 deg, intensity 19
- 1.992 Å, 45.5 deg, intensity 25
- 1.983 Å, 45.7 deg, intensity 9
- 1.928 Å, 47.1 deg, intensity 32
- 1.689 Å, 54.3 deg, intensity 32
- 1.554 Å, 59.5 deg, intensity 9
- 1.406 Å, 66.5 deg, intensity 11

[3]
Simulated powder diffraction line list of Ca3UO6 for a wavelength of 1.5418 Å, from a crystal structure in the Materials Project, relaxed with PBE.

Crystal structure
```
Ca3UO6
1.0
5.7615 0.0000 0.0000
0.0000 5.9823 0.0000
-0.0660 0.0000 8.3776
Ca U O
6 2 12
Cartesian
1.3376 0.0000 0.0690 Ca
1.4237 3.3125 2.0923 Ca
1.4572 0.6223 4.1354 Ca
4.2383 3.6135 4.2422 Ca
4.2718 0.3214 6.2853 Ca
4.3579 2.9912 8.3085 Ca
1.4237 3.3207 6.2954 U
4.2718 0.3295 2.0821 U
0.2057 1.4073 1.5915 O
0.4049 1.5912 6.9348 O
0.6977 2.9051 4.3428 O
2.1307 3.7124 8.2368 O
2.4042 5.0482 5.6190 O
2.5370 5.2817 2.5392 O
3.1585 2.2906 5.8384 O
3.2913 2.0570 2.7585 O
3.5648 0.7213 0.1407 O
4.9978 5.8963 4.0348 O
5.2906 4.5824 1.4427 O
5.4898 4.3985 6.7860 O
```

Top 10 peaks for 2θ from 5° to 70°, in order of rising 2θ:
- 4.868 Å, 18.2 deg, intensity 100
- 4.765 Å, 18.6 deg, intensity 38
- 4.730 Å, 18.8 deg, intensity 46
- 4.150 Å, 21.4 deg, intensity 72
- 2.991 Å, 29.9 deg, intensity 38
- 2.956 Å, 30.2 deg, intensity 81
- 2.940 Å, 30.4 deg, intensity 79
- 2.531 Å, 35.5 deg, intensity 48
- 2.075 Å, 43.6 deg, intensity 38
- 1.716 Å, 53.4 deg, intensity 36

[4]
Simulated powder diffraction line list of U2Fe3Si for a wavelength of 1.5418 Å, from a crystal structure in the Materials Project, relaxed with PBE.

Crystal structure
```
U2Fe3Si
1.0
2.5619 -4.4687 0.0000
2.5619 4.4687 0.0000
0.0000 0.0000 7.4472
U Fe Si
4 6 2
Cartesian
2.5619 2.9726 4.2149 U
2.5619 2.9726 6.9559 U
2.5619 -2.9726 0.4913 U
2.5619 -2.9726 3.2323 U
1.2759 0.7456 5.5854 Fe
1.2759 -0.7456 1.8618 Fe
2.5619 1.4908 1.8618 Fe
2.5619 -1.4908 5.5854 Fe
3.8479 0.7456 5.5854 Fe
3.8479 -0.7456 1.8618 Fe
2.5619 0.0000 0.0000 Si
2.5619 0.0000 3.7236 Si
```

Top 10 peaks for 2θ from 5° to 70°, in order of rising 2θ:
- 4.445 Å, 20.0 deg, intensity 31
- 3.822 Å, 23.3 deg, intensity 27
- 2.857 Å, 31.3 deg, intensity 28
- 2.575 Å, 34.8 deg, intensity 54
- 2.562 Å, 35.0 deg, intensity 27
- 2.168 Å, 41.7 deg, intensity 100
- 2.140 Å, 42.2 deg, intensity 17
- 2.130 Å, 42.4 deg, intensity 34
- 2.118 Å, 42.7 deg, intensity 54
- 2.111 Å, 42.8 deg, intensity 27

[5]
Simulated powder diffraction line list of In2CuAgTe4 for a wavelength of 1.5418 Å, from a crystal structure in the Materials Project, relaxed with PBE.

Crystal structure
```
In2CuAgTe4
1.0
6.4523 0.0000 0.0000
0.0000 6.4523 0.0000
0.0000 0.0000 12.7349
In Cu Ag Te
4 2 2 8
Cartesian
0.0000 0.0000 0.0000 In
0.0000 3.2262 3.1837 In
3.2262 0.0000 9.5512 In
3.2262 3.2262 6.3675 In
0.0000 3.2262 9.5512 Cu
3.2262 0.0000 3.1837 Cu
0.0000 0.0000 6.3675 Ag
3.2262 3.2262 0.0000 Ag
1.4864 4.7621 8.0288 Te
1.5360 1.7397 11.0736 Te
1.6902 1.4864 4.7061 Te
1.7397 4.9164 1.6614 Te
4.7126 1.5360 1.6614 Te
4.7621 4.9659 4.7061 Te
4.9164 4.7126 11.0736 Te
4.9659 1.6902 8.0288 Te
```

Top 10 peaks for 2θ from 5° to 70°, in order of rising 2θ:
- 3.709 Å, 24.0 deg, intensity 100
- 2.814 Å, 31.8 deg, intensity 3
- 2.281 Å, 39.5 deg, intensity 26
- 2.266 Å, 39.8 deg, intensity 51
- 1.943 Å, 46.8 deg, intensity 31
- 1.924 Å, 47.2 deg, intensity 15
- 1.613 Å, 57.1 deg, intensity 8
- 1.592 Å, 57.9 deg, intensity 4
- 1.479 Å, 62.8 deg, intensity 6
- 1.471 Å, 63.2 deg, intensity 12

[6]
Simulated powder diffraction line list of Th2B15 for a wavelength of 1.5418 Å, from a crystal structure in the Materials Project, relaxed with PBE.

Crystal structure
```
Th2B15
1.0
4.1177 0.0000 0.0000
0.0000 4.1177 0.0000
0.0000 0.0000 20.5837
Th B
4 30
Cartesian
0.0000 0.0000 2.0741 Th
0.0000 0.0000 6.2606 Th
0.0000 0.0000 14.3231 Th
0.0000 0.0000 18.5095 Th
0.8141 2.0588 0.0000 B
0.8150 2.0588 4.1139 B
0.8150 2.0588 16.4698 B
0.8280 2.0588 8.2154 B
0.8280 2.0588 12.3683 B
2.0588 0.8141 0.0000 B
2.0588 0.8150 4.1139 B
2.0588 0.8150 16.4698 B
2.0588 0.8280 8.2154 B
2.0588 0.8280 12.3683 B
2.0588 2.0588 1.2442 B
2.0588 2.0588 2.8681 B
2.0588 2.0588 5.3471 B
2.0588 2.0588 6.9727 B
2.0588 2.0588 9.4625 B
2.0588 2.0588 11.1212 B
2.0588 2.0588 13.6110 B
2.0588 2.0588 15.2366 B
2.0588 2.0588 17.7156 B
2.0588 2.0588 19.3395 B
2.0588 3.2896 8.2154 B
2.0588 3.2896 12.3683 B
2.0588 3.3036 0.0000 B
2.0588 3.3027 4.1139 B
2.0588 3.3027 16.4698 B
3.2896 2.0588 8.2154 B
3.2896 2.0588 12.3683 B
3.3036 2.0588 0.0000 B
3.3027 2.0588 4.1139 B
3.3027 2.0588 16.4698 B
```

Top 10 peaks for 2θ from 5° to 70°, in order of rising 2θ:
- 10.292 Å, 8.6 deg, intensity 16
- 6.861 Å, 12.9 deg, intensity 8
- 4.117 Å, 21.6 deg, intensity 73
- 2.911 Å, 30.7 deg, intensity 100
- 2.377 Å, 37.8 deg, intensity 42
- 2.059 Å, 44.0 deg, intensity 21
- 1.841 Å, 49.5 deg, intensity 52
- 1.681 Å, 54.6 deg, intensity 30
- 1.456 Å, 64.0 deg, intensity 11
- 1.372 Å, 68.3 deg, intensity 28